1.
Computed X-ray powder pattern
Compound: Tc5Ge7
Radiation: Cu Kα
Structure: a PBE-relaxed structure

Principal peaks in the range 15° ≤ 2θ ≤ 90°, in order of falling intensity:
2θ/deg, d/Å, intensity, hkl
38.30, 2.350, 100, 3 1 -1
46.04, 1.971, 47, 1 1 4
39.58, 2.277, 25, 3 1 1
47.07, 1.930, 25, 6 0 0
41.76, 2.163, 22, 2 0 -5
34.07, 2.632, 18, 2 0 -4

Cell and atoms:
Cell lengths 11.676, 2.991, 11.171 Å; angles 90.00, 97.23, 90.00 degrees
Space group C2/m (No. 12)
Inequivalent atoms, fractional coordinates:
1 Tc 0.000 0.000 0.000
2 Tc 0.152 0.500 0.837
3 Tc 0.160 0.000 0.434
4 Ge 0.000 0.500 0.500
5 Ge 0.021 0.000 0.239
6 Ge 0.176 0.500 0.067
7 Ge 0.202 0.000 0.665

=====

2.
Computed X-ray powder pattern
Compound: Tc3Ge
Radiation: Cu Kα
Structure: a PBE-relaxed structure

Principal peaks in the range 15° ≤ 2θ ≤ 90°, in order of falling intensity:
2θ/deg, d/Å, intensity, hkl
40.55, 2.225, 100, 2 2 1
43.54, 2.079, 25, 0 0 2
41.99, 2.152, 20, 1 3 1
77.90, 1.226, 13, 2 2 3
44.78, 2.024, 12, 0 4 0
81.36, 1.183, 9, 5 3 1

Cell and atoms:
Cell lengths 6.936, 8.095, 4.157 Å; angles 90.00, 90.00, 90.00 degrees
Space group Cmcm (No. 63)
Inequivalent atoms, fractional coordinates:
1 Tc 0.000 0.099 0.250
2 Tc 0.211 0.393 0.250
3 Ge 0.000 0.320 0.750